# Fe14O15
Calculated PXRD pattern, Cu Kα (λ = 1.5418 Å). Input: a GGA+U-relaxed structure.

Cell and atoms:
a = 8.1377 Å, b = 8.1377 Å, c = 8.1377 Å
α = 129.49°, β = 129.49°, γ = 74.23°
Fractional coordinates of all 29 atoms:
Fe: 0.0432 0.2425 0.6115
Fe: 0.1153 0.6960 0.8113
Fe: 0.1610 0.1610 0.0000
Fe: 0.2425 0.6310 0.1993
Fe: 0.3040 0.1153 0.4192
Fe: 0.3690 0.5683 0.6115
Fe: 0.4317 0.0432 0.8007
Fe: 0.5683 0.9568 0.1993
Fe: 0.6310 0.4317 0.3885
Fe: 0.6960 0.8847 0.5808
Fe: 0.7575 0.3690 0.8007
Fe: 0.8390 0.8390 0.0000
Fe: 0.8847 0.3040 0.1887
Fe: 0.9568 0.7575 0.3885
O: 0.0000 0.0000 0.0000
O: 0.0757 0.4565 0.1940
O: 0.1184 0.9243 0.3808
O: 0.1769 0.3861 0.5630
O: 0.2624 0.8816 0.8060
O: 0.3159 0.3159 0.0000
O: 0.3861 0.8231 0.2093
O: 0.4565 0.2624 0.3808
O: 0.5435 0.7376 0.6192
O: 0.6139 0.1769 0.7907
O: 0.6841 0.6841 0.0000
O: 0.7376 0.1184 0.1940
O: 0.8231 0.6139 0.4370
O: 0.8816 0.0757 0.6192
O: 0.9243 0.5435 0.8060

Largest 12 diffraction maxima, by angle, 2θ = 10–90°:
d/Å	2θ (°)	I (rel.)
6.123	14.47	9
3.916	22.71	5
3.020	29.58	6
2.523	35.59	93
2.196	41.10	100
2.163	41.76	47
1.553	59.53	28
1.541	60.03	55
1.322	71.32	24
1.308	72.23	12
1.261	75.34	25
1.098	89.19	8